Er5Ir2: calculated PXRD pattern (Cu Kα (λ = 1.5418 Å)), based on a GGA-PBE-relaxed structure.
Peak positions follow from Bragg's law for the DFT cell and can differ from measured ones.

Largest 10 diffraction maxima, low angle first, 2θ = 15–90°:
4.468 Å, 19.87 deg, I 57.1; 2.942 Å, 30.38 deg, I 51.2; 2.796 Å, 32.01 deg, I 70.4; 2.784 Å, 32.16 deg, I 100.0; 2.705 Å, 33.12 deg, I 40.8; 2.549 Å, 35.21 deg, I 43.0; 2.502 Å, 35.89 deg, I 49.0; 2.474 Å, 36.31 deg, I 91.9; 2.394 Å, 37.57 deg, I 57.6; 2.237 Å, 40.31 deg, I 61.6

Structural model:
```
14
Lattice="7.7650 -3.2318 0.0000 7.7650 3.2318 0.0000 -0.8544 0.0000 7.1106" Properties=species:S:1:pos:R:3 pbc="T T T"
Er 7.1242 2.7615 5.3329
Er 3.1654 0.4354 2.2669
Er 6.2854 0.7822 0.5797
Er 2.7382 -0.4354 5.8222
Er 8.8174 0.7822 2.9756
Er 5.8582 -0.7822 4.1350
Er 11.9374 0.4354 1.2884
Er 8.3903 -0.7822 6.5309
Er 11.5103 -0.4354 4.8437
Er 7.5514 -2.7615 1.7776
Ir 5.7021 1.8220 3.0335
Ir 9.4007 1.8220 0.5217
Ir 5.2749 -1.8220 6.5888
Ir 8.9735 -1.8220 4.0770
```